Entry 1:
Computed PXRD pattern of Be13Ni2 for Cu Kα, from a structure optimized by DFT (GGA-PBE).
Intensities are scaled so that the largest is 100.

Top 6 peaks for 2θ from 15° to 90°, by intensity:
Position (°2θ)	I (rel.)
18.81	100
28.22	62
31.47	44
35.55	32
49.27	27
47.80	23

Structure:
abc: 6.4064 6.4064 6.4064
angles: 52.69 52.69 52.69
Fractional positions:
1 Be 0.0000 0.0000 0.0000
2 Be 0.1058 0.1058 0.4842
3 Be 0.1058 0.4842 0.1058
4 Be 0.2469 0.2469 0.6272
5 Be 0.2469 0.6272 0.2469
6 Be 0.3728 0.7531 0.7531
7 Be 0.4842 0.1058 0.1058
8 Be 0.5158 0.8942 0.8942
9 Be 0.6272 0.2469 0.2469
10 Be 0.7531 0.3728 0.7531
11 Be 0.7531 0.7531 0.3728
12 Be 0.8942 0.5158 0.8942
13 Be 0.8942 0.8942 0.5158
14 Ni 0.1252 0.1252 0.1252
15 Ni 0.8748 0.8748 0.8748



Entry 2:
Computed PXRD pattern of Be2Ni for Cu Kα, from a structure optimized by DFT (GGA-PBE).
Intensities are scaled so that the largest is 100.

Top 6 peaks for 2θ from 15° to 90°, by intensity:
Position (°2θ)	I (rel.)
36.26	100
23.67	73
50.36	62
49.10	34
55.21	27
83.36	15

Structure:
abc: 4.1913 4.1913 4.1913
angles: 143.52 143.52 52.55
Fractional positions:
1 Be 0.1688 0.1688 0.0000
2 Be 0.8312 0.8312 0.0000
3 Ni 0.5000 0.5000 0.0000



Entry 3:
Computed PXRD pattern of Be4Ni for Cu Kα, from a structure optimized by DFT (GGA-PBE).
Intensities are scaled so that the largest is 100.

Top 6 peaks for 2θ from 15° to 90°, by intensity:
Position (°2θ)	I (rel.)
26.64	100
30.77	49
52.25	41
44.27	30
52.59	23
54.88	18

Structure:
abc: 4.0923 4.0923 4.0923
angles: 119.73 119.73 90.47
Fractional positions:
1 Be 0.1621 0.1621 0.6456
2 Be 0.4835 0.8379 0.0000
3 Be 0.5165 0.5165 0.3544
4 Be 0.8379 0.4835 0.0000
5 Ni 0.0000 0.0000 0.0000